For Ca5Hg2Au, a cell relaxed with GGA-PBE gives the theoretical XRD peak list in this record (Cu Kα).
Kinematic intensities with the Lorentz-polarization factor, no thermal factor.

Most intense lines, 2θ = 10–90°, in order of rising 2θ:
| hkl | 2θ (°) | d_spacing | intensity |
| --- | --- | --- | --- |
| 1 1 1 | 22.50 | 3.952 | 83.6 |
| 2 0 0 | 22.84 | 3.894 | 65.9 |
| 1 3 0 | 23.84 | 3.732 | 100.0 |
| 2 1 1 | 30.09 | 2.970 | 88.3 |
| 2 2 1 | 32.52 | 2.753 | 50.3 |
| 0 4 1 | 33.47 | 2.677 | 49.2 |
| 0 0 2 | 36.57 | 2.457 | 40.4 |
| 1 3 2 | 44.12 | 2.053 | 42.0 |

Crystal structure
```
Ca5Hg2Au
1.0
7.787 0.000 0.000
0.000 12.769 0.000
0.000 0.000 4.915
Ca Hg Au
10 4 2
Cartesian
0.000 0.000 0.000 Ca
1.137 3.693 0.000 Ca
1.422 7.467 2.457 Ca
2.471 1.083 2.457 Ca
2.757 10.078 0.000 Ca
3.893 6.384 0.000 Ca
5.030 2.691 0.000 Ca
5.316 11.686 2.457 Ca
6.364 5.301 2.457 Ca
6.650 9.075 0.000 Ca
0.625 10.683 2.457 Hg
3.269 4.299 2.457 Hg
4.518 8.470 2.457 Hg
7.162 2.085 2.457 Hg
0.000 6.384 0.000 Au
3.893 0.000 0.000 Au
```